Record 1
Simulated powder diffraction line list of WIBr4 for Cu Kα (λ = 1.5418 Å), from DFT lattice parameters and positions (GGA-PBE).
Kinematic intensities with the Lorentz-polarization factor, no thermal factor.

Peak list (12 most intense, 2θ = 15–90°, in order of rising 2θ)
2theta, Rel. int., (hkl)
15.76, 48, 1 -1 0
16.50, 100, 1 0 -1
19.83, 33, 1 -1 1
21.79, 34, 1 1 -1
27.16, 23, 1 -2 0
27.46, 23, 1 1 -2
29.85, 25, 0 2 0
30.95, 57, 1 -1 2
33.36, 34, 2 0 -2
33.70, 36, 1 2 -1
34.88, 31, -1 2 1
44.47, 25, 2 2 -2

Structural model:
Cell: 6.885 7.127 7.149 Å, 112.46 100.09 108.21°
Space group P1 (No. 1)
Asymmetric unit:
1 W 0.000 0.000 0.000 [1 per cell]
2 I 0.873 0.569 0.842 [1 per cell]
3 Br 0.269 0.056 0.320 [1 per cell]
4 Br 0.288 0.200 0.910 [1 per cell]
5 Br 0.728 0.940 0.678 [1 per cell]
6 Br 0.822 0.174 0.226 [1 per cell]


Record 2
Simulated powder diffraction line list of ZnIBr4 for Cu Kα (λ = 1.5418 Å), from DFT lattice parameters and positions (GGA-PBE).
Kinematic intensities with the Lorentz-polarization factor, no thermal factor.

Peak list (12 most intense, 2θ = 15–90°, in order of rising 2θ)
2theta, Rel. int., (hkl)
15.63, 79, 1 1 1
18.56, 12, 0 2 1
26.43, 100, 2 2 0
28.27, 12, 1 3 1
28.81, 17, 1 1 3
33.31, 29, 0 4 0
34.27, 21, 0 0 4
37.45, 13, 1 3 3
41.73, 16, 4 0 0
43.80, 36, 2 2 4
45.37, 12, 1 1 5
54.41, 11, 4 4 0

Structural model:
Cell: 8.659 10.751 10.466 Å, 90.00 90.00 90.00°
Space group C222_1 (No. 20)
Asymmetric unit:
1 Zn 0.000 0.167 0.250 [4 per cell]
2 I 0.242 0.000 0.000 [4 per cell]
3 Br 0.008 0.259 0.044 [8 per cell]
4 Br 0.234 0.025 0.257 [8 per cell]


Record 3
Simulated powder diffraction line list of Zn3I5Br for Cu Kα (λ = 1.5418 Å), from DFT lattice parameters and positions (GGA-PBE).
Kinematic intensities with the Lorentz-polarization factor, no thermal factor.

Peak list (12 most intense, 2θ = 15–90°, in order of rising 2θ)
2theta, Rel. int., (hkl)
16.88, 63, 0 6 0
17.07, 35, 2 0 0
26.87, 54, 1 9 0
27.11, 67, 3 3 0
28.22, 69, 0 6 1
28.34, 76, 2 0 1
35.29, 28, 1 9 1
35.48, 42, 3 3 1
41.25, 19, 0 12 1
43.27, 100, 3 9 1
45.83, 25, 0 0 2
54.06, 19, 3 3 2

Structural model:
Cell: 10.390 31.518 3.960 Å, 90.00 90.00 90.00°
Space group Cmmm (No. 65)
Asymmetric unit:
1 Zn 0.000 0.000 0.000 [2 per cell]
2 Zn 0.000 0.154 0.500 [4 per cell]
3 Zn 0.000 0.345 0.000 [4 per cell]
4 Zn 0.000 0.500 0.500 [2 per cell]
5 I 0.000 0.060 0.500 [4 per cell]
6 I 0.000 0.285 0.500 [4 per cell]
7 I 0.181 0.164 0.000 [8 per cell]
8 I 0.183 0.500 0.000 [4 per cell]
9 Br 0.000 0.400 0.500 [4 per cell]


Record 4
Simulated powder diffraction line list of Zn2I3Br for Cu Kα (λ = 1.5418 Å), from DFT lattice parameters and positions (GGA-PBE).
Kinematic intensities with the Lorentz-polarization factor, no thermal factor.

Peak list (12 most intense, 2θ = 15–90°, in order of rising 2θ)
2theta, Rel. int., (hkl)
23.49, 39, 0 0 2
26.60, 38, 2 0 0
26.72, 39, 2 2 0
26.96, 39, 0 2 2
29.59, 100, 0 2 0
30.23, 100, 2 2 2
30.42, 100, 2 0 -2
40.51, 32, 2 0 2
40.82, 33, 2 2 -2
41.64, 35, 0 2 4
45.01, 70, 2 4 2
45.15, 35, 4 2 0

Structural model:
Cell: 8.033 8.057 8.766 Å, 63.91 89.59 60.13°
Space group P-1 (No. 2)
Asymmetric unit:
1 Zn 0.000 0.000 0.000 [1 per cell]
2 Zn 0.000 0.500 0.000 [1 per cell]
3 Zn 0.500 0.000 0.000 [1 per cell]
4 Zn 0.500 0.500 0.000 [1 per cell]
5 I 0.233 0.029 0.217 [2 per cell]
6 I 0.234 0.528 0.218 [2 per cell]
7 I 0.266 0.472 0.782 [2 per cell]
8 Br 0.275 0.953 0.813 [2 per cell]


Record 5
Simulated powder diffraction line list of ZrI3Br for Cu Kα (λ = 1.5418 Å), from DFT lattice parameters and positions (GGA-PBE).
Kinematic intensities with the Lorentz-polarization factor, no thermal factor.

Peak list (12 most intense, 2θ = 15–90°, in order of rising 2θ)
2theta, Rel. int., (hkl)
17.03, 19, 1 0 1
20.46, 11, 1 1 1
22.61, 12, 0 2 0
26.24, 30, 0 2 1
26.43, 20, 0 0 2
27.89, 100, 2 1 1
35.06, 24, 0 2 2
36.35, 19, 2 1 2
40.87, 21, 2 3 0
44.22, 14, 4 0 0
47.57, 21, 2 1 3
57.64, 11, 4 2 2

Structural model:
Cell: 8.193 7.864 6.744 Å, 90.00 90.00 90.00°
Space group Pmn2_1 (No. 31)
Asymmetric unit:
1 Zr 0.000 0.007 0.000 [2 per cell]
2 I 0.000 0.296 0.231 [2 per cell]
3 I 0.246 0.833 0.256 [4 per cell]
4 Br 0.000 0.738 0.791 [2 per cell]


Record 6
Simulated powder diffraction line list of ZrI3Br for Cu Kα (λ = 1.5418 Å), from DFT lattice parameters and positions (GGA-PBE).
Kinematic intensities with the Lorentz-polarization factor, no thermal factor.

Peak list (12 most intense, 2θ = 15–90°, in order of rising 2θ)
2theta, Rel. int., (hkl)
24.40, 46, 0 2 2
27.01, 100, 2 0 2
28.04, 47, 2 2 0
28.36, 26, 0 3 1
33.07, 13, 0 0 4
34.09, 36, 2 1 3
36.42, 24, 0 4 0
43.08, 37, 2 3 3
43.46, 17, 4 0 0
45.92, 39, 2 4 2
50.45, 26, 0 3 5
68.76, 15, 4 0 6

Structural model:
Cell: 8.329 9.868 10.834 Å, 90.00 90.00 90.00°
Space group Immm (No. 71)
Asymmetric unit:
1 Zr 0.000 0.000 0.000 [2 per cell]
2 Zr 0.000 0.500 0.500 [2 per cell]
3 I 0.000 0.218 0.500 [4 per cell]
4 I 0.250 0.000 0.193 [8 per cell]
5 Br 0.000 0.259 0.000 [4 per cell]


Copy entry 4 word for word.
Simulated powder diffraction line list of Zn2I3Br for Cu Kα (λ = 1.5418 Å), from DFT lattice parameters and positions (GGA-PBE).
Kinematic intensities with the Lorentz-polarization factor, no thermal factor.

Peak list (12 most intense, 2θ = 15–90°, in order of rising 2θ)
2theta, Rel. int., (hkl)
23.49, 39, 0 0 2
26.60, 38, 2 0 0
26.72, 39, 2 2 0
26.96, 39, 0 2 2
29.59, 100, 0 2 0
30.23, 100, 2 2 2
30.42, 100, 2 0 -2
40.51, 32, 2 0 2
40.82, 33, 2 2 -2
41.64, 35, 0 2 4
45.01, 70, 2 4 2
45.15, 35, 4 2 0

Structural model:
Cell: 8.033 8.057 8.766 Å, 63.91 89.59 60.13°
Space group P-1 (No. 2)
Asymmetric unit:
1 Zn 0.000 0.000 0.000 [1 per cell]
2 Zn 0.000 0.500 0.000 [1 per cell]
3 Zn 0.500 0.000 0.000 [1 per cell]
4 Zn 0.500 0.500 0.000 [1 per cell]
5 I 0.233 0.029 0.217 [2 per cell]
6 I 0.234 0.528 0.218 [2 per cell]
7 I 0.266 0.472 0.782 [2 per cell]
8 Br 0.275 0.953 0.813 [2 per cell]